Theoretical powder diffractogram
Compound: PPbAuO5
Radiation: Cu Kα X-rays
Structure: a cell relaxed with GGA-PBE
Kinematic intensities with the Lorentz-polarization factor, no thermal factor.

Main lines, low angle first (10° ≤ 2θ ≤ 90°):
d_spacing, intensity
3.724, 41
3.628, 84
3.352, 100
3.246, 43
3.021, 81
2.793, 30
2.609, 36
2.564, 37
2.302, 36
1.662, 30

Crystal structure
abc: 5.881 6.307 7.076
angles: 103.41 107.68 106.65
Space group P-1 (No. 2)
Asymmetric unit:
P 0.198 0.358 0.150 x2
Pb 0.149 0.312 0.614 x2
Au 0.369 0.927 0.219 x2
O 0.033 0.393 0.271 x2
O 0.035 0.183 0.918 x2
O 0.262 0.972 0.598 x2
O 0.365 0.593 0.135 x2
O 0.411 0.274 0.267 x2